(1)
Starting from a cell relaxed with PBE, the powder diffractogram of Sm5Tm6Th was computed for Cu Kα X-rays.

```
12
Lattice="-2.5304 4.9584 7.5945 2.5304 -4.9584 7.5945 2.5304 4.9584 -7.5945" Properties=species:S:1:pos:R:3 pbc="T T T"
Sm 0.0000 0.0000 0.0000
Sm 2.5304 0.0000 2.5141
Sm 0.0000 0.0000 5.0812
Sm 0.0000 0.0000 10.1079
Sm 0.0000 4.9584 5.0804
Tm 2.5304 -2.4581 5.0835
Tm 2.5304 2.5221 0.0000
Tm 0.0000 2.5003 2.5110
Tm 2.5304 2.4581 5.0835
Tm 0.0000 2.4363 7.5945
Tm 0.0000 7.4165 2.5110
Th 0.0000 4.9584 0.0000
```

Peak list (10 most intense, 2θ = 10–90°, by angle)
2θ (°)	d [Å]	intensity
30.8	2.902	100
35.5	2.531	34
36.2	2.479	16
51.0	1.790	12
51.6	1.771	24
60.8	1.523	29
61.8	1.501	14
64.2	1.451	12
83.3	1.160	6
84.2	1.150	12


(2)
Starting from a cell relaxed with PBE, the powder diffractogram of ZrNp was computed for Cu Kα X-rays.

```
4
Lattice="5.1222 0.0000 0.0000 0.0000 3.4106 0.0000 -1.0612 0.0000 5.0767" Properties=species:S:1:pos:R:3 pbc="T T T"
Zr 0.7625 0.8527 2.2813
Zr 3.2986 2.5580 2.7955
Np 0.6638 2.5580 4.9479
Np 3.3973 0.8527 0.1289
```

Peak list (10 most intense, 2θ = 10–90°, by angle)
2θ (°)	d [Å]	intensity
17.5	5.077	66
17.7	5.014	41
22.2	4.000	29
34.6	2.595	100
35.4	2.538	56
36.2	2.478	30
38.3	2.353	96
44.9	2.020	29
45.5	1.993	35
65.9	1.416	38


(3)
Starting from a cell relaxed with PBE, the powder diffractogram of BaReO4F was computed for Cu Kα X-rays.

```
14
Lattice="5.3144 -4.2224 0.0000 5.3144 4.2224 0.0000 -2.1078 0.0000 7.4639" Properties=species:S:1:pos:R:3 pbc="T T T"
Ba 1.7914 0.0000 0.9391
Ba 6.7295 0.0000 6.5248
Re 2.2160 0.0000 5.4963
Re 6.3049 0.0000 1.9676
O 1.5067 1.4214 6.2551
O 1.9142 0.0000 3.7763
O 1.5067 -1.4214 6.2551
O 4.5799 0.0000 1.6857
O 3.9410 0.0000 5.7781
O 7.0142 1.4214 1.2088
O 6.6067 0.0000 3.6876
O 7.0142 -1.4214 1.2088
F -1.4432 0.0000 6.1803
F 9.9641 0.0000 1.2836
```

Peak list (10 most intense, 2θ = 10–90°, by angle)
2θ (°)	d [Å]	intensity
17.3	5.114	30
18.2	4.883	43
19.6	4.534	28
21.0	4.222	100
23.6	3.768	54
23.8	3.732	26
25.4	3.510	66
27.7	3.217	33
27.9	3.194	27
31.8	2.811	35


Question: Number 2 is which compound?
Answer: ZrNp